V3CoNi12: calculated powder X-ray diffraction pattern (Cu Kα X-rays), based on DFT lattice parameters and positions (PBE).
Intensities are scaled so that the largest is 100.

Largest 5 diffraction maxima, low angle first, 10° ≤ 2θ ≤ 80°:
2θ 25.08, rel. 1
2θ 35.77, rel. 1
2θ 44.18, rel. 100
2θ 51.48, rel. 46
2θ 75.78, rel. 26

Crystal structure
```
V3CoNi12
1.0
3.552 0.000 0.000
0.000 3.552 0.000
0.000 0.000 14.190
V Co Ni
3 1 12
Direct
0.000 0.000 0.000
0.000 0.000 0.256
0.000 0.000 0.744
0.000 0.000 0.500
0.000 0.500 0.125
0.000 0.500 0.374
0.000 0.500 0.626
0.000 0.500 0.875
0.500 0.000 0.125
0.500 0.000 0.374
0.500 0.000 0.626
0.500 0.000 0.875
0.500 0.500 0.000
0.500 0.500 0.249
0.500 0.500 0.500
0.500 0.500 0.751
```



CaAc3Pr: calculated powder X-ray diffraction pattern (Cu Kα X-rays), based on DFT lattice parameters and positions (PBE).
Intensities are scaled so that the largest is 100.

Largest 10 diffraction maxima, low angle first, 10° ≤ 2θ ≤ 80°:
2θ 12.10, rel. 28
2θ 27.21, rel. 14
2θ 27.35, rel. 24
2θ 29.13, rel. 100
2θ 34.71, rel. 16
2θ 36.73, rel. 9
2θ 42.20, rel. 10
2θ 52.53, rel. 14
2θ 52.79, rel. 22
2θ 57.40, rel. 10

Crystal structure
```
CaAc3Pr
1.0
7.280 -7.340 0.000
7.280 7.340 0.000
0.000 0.000 8.193
Ca Ac Pr
4 12 4
Direct
0.247 0.253 0.250
0.253 0.247 0.750
0.747 0.753 0.250
0.753 0.747 0.750
0.095 0.905 0.868
0.100 0.609 0.120
0.109 0.600 0.620
0.391 0.900 0.120
0.400 0.891 0.620
0.405 0.595 0.368
0.595 0.405 0.632
0.600 0.109 0.380
0.609 0.100 0.880
0.891 0.400 0.380
0.900 0.391 0.880
0.905 0.095 0.132
0.098 0.902 0.390
0.402 0.598 0.890
0.598 0.402 0.110
0.902 0.098 0.610
```



Pr3YTm3Se8: calculated powder X-ray diffraction pattern (Cu Kα X-rays), based on DFT lattice parameters and positions (PBE).
Intensities are scaled so that the largest is 100.

Largest 10 diffraction maxima, low angle first, 10° ≤ 2θ ≤ 80°:
2θ 15.18, rel. 9
2θ 26.59, rel. 8
2θ 30.64, rel. 100
2θ 43.53, rel. 37
2θ 44.23, rel. 36
2θ 53.57, rel. 6
2θ 54.77, rel. 19
2θ 63.80, rel. 12
2θ 71.92, rel. 16
2θ 72.94, rel. 16

Crystal structure
```
Pr3YTm3Se8
1.0
4.095 2.365 6.842
-4.095 2.365 6.842
0.000 -4.729 6.842
Pr Y Tm Se
3 1 3 8
Direct
0.000 0.500 0.500
0.500 0.000 0.500
0.500 0.500 0.000
0.500 0.500 0.500
0.000 0.000 0.500
0.000 0.500 0.000
0.500 0.000 0.000
0.235 0.750 0.750
0.243 0.243 0.243
0.250 0.250 0.765
0.250 0.765 0.250
0.750 0.235 0.750
0.750 0.750 0.235
0.757 0.757 0.757
0.765 0.250 0.250
```